Calculated PXRD pattern of La5Tb3Dy3 for Cu Kα X-rays, from a crystal structure in Alexandria, relaxed with PBE.

Cell and atoms:
Lattice parameters (Å, degrees): 11.3899 11.3899 3.4901 90.00 90.00 120.00
Element x y z (fractional)
La1 0.0000 0.3387 0.0000
La2 0.3333 0.6667 0.0000
La3 0.3387 0.0000 0.0000
La4 0.6613 0.6613 0.0000
La5 0.6667 0.3333 0.0000
Tb1 0.0000 0.8402 0.0000
Tb2 0.1598 0.1598 0.0000
Tb3 0.8402 0.0000 0.0000
Dy1 0.0000 0.5974 0.5000
Dy2 0.4026 0.4026 0.5000
Dy3 0.5974 0.0000 0.5000

The 6 most intense peaks (2θ from 10° to 90°), by angle:
2θ/deg, Rel. int.
27.12, 94
30.03, 89
31.41, 52
32.73, 100
35.22, 74
40.90, 78

Calculated PXRD pattern of La2Tb4Dy3 for Cu Kα X-rays, from a crystal structure in Alexandria, relaxed with PBE.

Cell and atoms:
Lattice parameters (Å, degrees): 3.6129 3.6129 26.6335 90.00 90.00 120.00
Element x y z (fractional)
La1 0.0000 0.0000 0.0000
La2 0.0000 0.0000 0.2232
Tb1 0.0000 0.0000 0.3559
Tb2 0.0000 0.0000 0.5675
Tb3 0.3333 0.6667 0.6740
Tb4 0.3333 0.6667 0.8867
Dy1 0.0000 0.0000 0.7809
Dy2 0.3333 0.6667 0.1138
Dy3 0.3333 0.6667 0.4600

The 6 most intense peaks (2θ from 10° to 90°), by angle:
2θ/deg, Rel. int.
28.53, 41
30.22, 48
31.59, 50
33.21, 100
50.52, 34
60.00, 34